Structure and simulated powder X-ray diffraction pattern of UIrSe4 (a DFT-relaxed cell (GGA-PBE, Alexandria); a wavelength of 1.5418 Å).
Intensities are scaled so that the largest is 100.

Largest 8 diffraction maxima, by angle, 2θ from 15° to 90°:
2θ/deg, intensity
27.49, 24
31.28, 100
31.39, 41
36.51, 32
37.34, 31
39.38, 42
46.53, 41
52.20, 24

abc: 14.469 3.887 5.942
angles: 90.00 106.40 90.00
Space group C2/m (No. 12)
Unique sites:
U 0.000 0.000 0.000 x2
Ir 0.000 0.500 0.500 x2
Se 0.110 0.000 0.452 x4
Se 0.121 0.500 0.912 x4

=====

Structure and simulated powder X-ray diffraction pattern of V2IrSe2 (a DFT-relaxed cell (GGA-PBE, Alexandria); a wavelength of 1.5418 Å).
Intensities are scaled so that the largest is 100.

Largest 8 diffraction maxima, by angle, 2θ from 15° to 90°:
2θ/deg, intensity
17.99, 29
33.64, 64
36.45, 27
38.40, 52
40.61, 72
40.93, 100
50.44, 24
73.66, 35

abc: 6.972 6.972 3.167
angles: 90.00 90.00 90.00
Space group P4/mbm (No. 127)
Unique sites:
V 0.142 0.358 0.000 x4
Ir 0.000 0.000 0.000 x2
Se 0.151 0.651 0.500 x4

=====

Structure and simulated powder X-ray diffraction pattern of IrW2Se (a DFT-relaxed cell (GGA-PBE, Alexandria); a wavelength of 1.5418 Å).
Intensities are scaled so that the largest is 100.

Largest 8 diffraction maxima, by angle, 2θ from 15° to 90°:
2θ/deg, intensity
38.00, 100
40.69, 25
44.97, 60
63.60, 23
67.35, 18
76.54, 13
78.29, 23
81.25, 11

abc: 2.9260 2.9260 26.6106
angles: 90.00 90.00 120.00
Space group R3m (No. 160, hexagonal axes)
Unique sites:
Ir 0.0000 0.0000 0.0000 x3
W 0.0000 0.0000 0.5004 x3
W 0.0000 0.0000 0.7434 x3
Se 0.0000 0.0000 0.2382 x3

=====

Structure and simulated powder X-ray diffraction pattern of IrW2Se (a DFT-relaxed cell (GGA-PBE, Alexandria); a wavelength of 1.5418 Å).
Intensities are scaled so that the largest is 100.

Largest 8 diffraction maxima, by angle, 2θ from 15° to 90°:
2θ/deg, intensity
35.60, 15
39.40, 29
39.77, 23
40.92, 100
57.23, 16
72.48, 19
72.95, 16
88.70, 10

abc: 3.028 4.574 9.066
angles: 90.00 90.00 90.00
Space group Immm (No. 71)
Unique sites:
Ir 0.000 0.000 0.000 x2
W 0.000 0.500 0.227 x4
Se 0.000 0.000 0.500 x2